Diffraction record for Dy4Y9Er11. The X-ray powder pattern is simulated, not measured: it uses DFT lattice parameters and positions (GGA-PBE) and a wavelength of 1.5418 Å.
Neutral-atom scattering factors, no anomalous dispersion.

Structure:
```
data_Dy4Y9Er11
_symmetry_space_group_name_H-M 'C m m m'
_symmetry_Int_Tables_number 65
_symmetry_space_group_name_Hall '-C 2 2'
_cell_length_a 16.6069
_cell_length_b 25.0192
_cell_length_c 3.6521
_cell_angle_alpha 90.00
_cell_angle_beta 90.00
_cell_angle_gamma 90.00
loop_
_atom_site_label
_atom_site_fract_x
_atom_site_fract_y
_atom_site_fract_z
Dy1 0.1544 0.1009 0.0000
Y1 0.0000 0.0000 0.0000
Y2 0.1026 0.2343 0.0000
Y3 0.1415 0.4272 0.0000
Er1 0.0000 0.1331 0.5000
Er2 0.0000 0.3407 0.5000
Er3 0.0000 0.5000 0.5000
Er4 0.2079 0.0000 0.5000
Er5 0.2262 0.3191 0.5000
```

Main lines, sorted by position (10° ≤ 2θ ≤ 90°):
(4 6 0), 30.4°, d = 2.944 Å, intensity 58
(3 3 1), 31.2°, d = 2.863 Å, intensity 16
(6 0 0), 32.3°, d = 2.768 Å, intensity 7
(4 0 1), 32.6°, d = 2.744 Å, intensity 100
(3 5 1), 34.4°, d = 2.605 Å, intensity 12
(7 3 0), 39.5°, d = 2.283 Å, intensity 8
(0 0 2), 49.9°, d = 1.826 Å, intensity 12
(4 6 2), 59.6°, d = 1.551 Å, intensity 14